This entry pairs a crystal structure of K2AlFeB2P4H2O18 with its computed PXRD pattern. Radiation: a wavelength of 1.5418 Å. Structure: a crystal structure in Alexandria, relaxed with GGA+U.

Cell and atoms:
a b c (Å): 5.155 8.253 8.334
angles (deg): 86.14 80.70 86.45
Fractional positions:
K: 0.000 0.000 0.000
K: 0.450 0.655 0.234
Al: 0.454 0.133 0.314
Fe: 0.992 0.519 0.930
B: 0.597 0.060 0.674
B: 0.854 0.600 0.562
P: 0.503 0.262 0.937
P: 0.524 0.746 0.818
P: 0.925 0.918 0.421
P: 0.937 0.383 0.312
H: 0.220 0.564 0.634
H: 0.298 0.212 0.601
O: 0.038 0.537 0.674
O: 0.180 0.982 0.327
O: 0.210 0.315 0.344
O: 0.226 0.317 0.900
O: 0.275 0.679 0.917
O: 0.435 0.135 0.555
O: 0.447 0.927 0.772
O: 0.479 0.135 0.083
O: 0.596 0.655 0.655
O: 0.661 0.176 0.785
O: 0.662 0.405 0.961
O: 0.693 0.941 0.324
O: 0.753 0.733 0.915
O: 0.757 0.254 0.282
O: 0.788 0.473 0.464
O: 0.851 0.997 0.589
O: 0.974 0.516 0.170
O: 0.988 0.732 0.455

Peak list (8 most intense, 10 to 90 degrees two-theta, in order of falling intensity)
2θ 21.64, intensity 100, hkl 0 0 2
2θ 28.63, intensity 87, hkl 1 -2 0
2θ 14.80, intensity 86, hkl 0 1 1
2θ 27.18, intensity 83, hkl 1 2 0
2θ 27.75, intensity 75, hkl 1 2 1
2θ 35.25, intensity 47, hkl 1 -2 2
2θ 33.91, intensity 43, hkl 0 1 3
2θ 31.22, intensity 43, hkl -1 2 1